Record 1
The following is a simulated PXRD pattern of LiVF5. It was derived from a cell relaxed with PBE+U, using Cu Kα (λ = 1.5418 Å).
Kinematic intensities with the Lorentz-polarization factor, no thermal factor.

Principal peaks in the range 2θ from 10° to 90°, sorted by position:
Position (°2θ), I_rel
14.9, 60
17.0, 31
18.5, 76
21.4, 100
31.7, 18
34.4, 21
38.4, 23
39.0, 15

Structural model:
Cell: 6.017 6.017 11.927 Å, 90.00 90.00 74.62°
Positions (direct):
Li 0.159 0.159 0.000
Li 0.341 0.341 0.500
Li 0.659 0.659 0.500
Li 0.841 0.841 0.000
V 0.173 0.827 0.583
V 0.327 0.673 0.083
V 0.673 0.327 0.917
V 0.827 0.173 0.417
F 0.027 0.973 0.699
F 0.031 0.676 0.125
F 0.133 0.133 0.500
F 0.176 0.531 0.625
F 0.183 0.817 0.951
F 0.317 0.683 0.451
F 0.324 0.969 0.125
F 0.367 0.367 0.000
F 0.469 0.824 0.625
F 0.473 0.527 0.199
F 0.527 0.473 0.801
F 0.531 0.176 0.375
F 0.633 0.633 0.000
F 0.676 0.031 0.875
F 0.683 0.317 0.549
F 0.817 0.183 0.049
F 0.824 0.469 0.375
F 0.867 0.867 0.500
F 0.969 0.324 0.875
F 0.973 0.027 0.301

***

Record 2
The following is a simulated PXRD pattern of Li2VF4. It was derived from a cell relaxed with PBE+U, using Cu Kα (λ = 1.5418 Å).
Kinematic intensities with the Lorentz-polarization factor, no thermal factor.

Principal peaks in the range 2θ from 10° to 90°, sorted by position:
Position (°2θ), I_rel
17.4, 95
17.9, 76
23.0, 68
24.7, 100
28.9, 100
30.0, 44
42.2, 55
53.1, 42

Structural model:
Cell: 12.442 5.966 8.841 Å, 90.00 90.00 90.00°
Positions (direct):
Li 0.031 0.161 0.000
Li 0.102 0.749 0.223
Li 0.150 0.340 0.759
Li 0.219 0.877 0.978
Li 0.281 0.377 0.478
Li 0.350 0.840 0.259
Li 0.398 0.249 0.723
Li 0.469 0.661 0.500
Li 0.531 0.339 0.000
Li 0.602 0.751 0.223
Li 0.650 0.160 0.759
Li 0.719 0.623 0.978
Li 0.781 0.123 0.478
Li 0.850 0.660 0.259
Li 0.898 0.251 0.723
Li 0.969 0.839 0.500
V 0.057 0.276 0.380
V 0.193 0.829 0.601
V 0.307 0.329 0.101
V 0.443 0.776 0.880
V 0.557 0.224 0.380
V 0.693 0.671 0.601
V 0.807 0.171 0.101
V 0.943 0.724 0.880
F 0.008 0.411 0.821
F 0.035 0.865 0.701
F 0.071 0.823 0.018
F 0.106 0.934 0.410
F 0.140 0.486 0.554
F 0.178 0.221 0.964
F 0.221 0.258 0.297
F 0.246 0.655 0.154
F 0.254 0.155 0.654
F 0.279 0.758 0.797
F 0.322 0.721 0.464
F 0.360 0.986 0.054
F 0.394 0.434 0.910
F 0.429 0.323 0.518
F 0.465 0.365 0.201
F 0.492 0.911 0.321
F 0.508 0.089 0.821
F 0.535 0.635 0.701
F 0.571 0.677 0.018
F 0.606 0.566 0.410
F 0.640 0.014 0.554
F 0.678 0.279 0.964
F 0.721 0.242 0.297
F 0.746 0.845 0.154
F 0.754 0.345 0.654
F 0.779 0.742 0.797
F 0.822 0.779 0.464
F 0.860 0.514 0.054
F 0.894 0.066 0.910
F 0.929 0.177 0.518
F 0.965 0.135 0.201
F 0.992 0.589 0.321